This entry pairs a crystal structure of Al2Ag2Pd with its theoretical X-ray powder pattern. Radiation: Cu Ka. Structure: a DFT-relaxed cell (GGA-PBE, Alexandria).

Main lines, most intense first (15 to 90 degrees two-theta):
two_theta, d_spacing, intensity, h k l
39.0, 2.311, 100, 2 1 1
41.4, 2.181, 63, 3 1 0
31.5, 2.838, 52, 1 1 1
29.0, 3.084, 42, 2 1 0
36.6, 2.453, 37, 2 0 1
68.9, 1.362, 27, 3 1 2
63.1, 1.473, 18, 3 3 1
79.8, 1.202, 17, 5 2 1
52.4, 1.745, 17, 0 0 2
59.8, 1.546, 16, 4 0 1

Cell and atoms:
```
Al2Ag2Pd
1.0
6.896 0.000 0.000
0.000 6.896 0.000
0.000 0.000 3.490
Al Ag Pd
4 4 2
Direct
0.147 0.353 0.000
0.353 0.853 0.000
0.647 0.147 0.000
0.853 0.647 0.000
0.152 0.652 0.500
0.348 0.152 0.500
0.652 0.848 0.500
0.848 0.348 0.500
0.000 0.000 0.000
0.500 0.500 0.000
```